For Zn2Pd3Pt2, a GGA-PBE-relaxed structure gives the computed powder X-ray diffraction pattern in this record (Cu Kα (weighted mean of Kα1 and Kα2)).
Neutral-atom scattering factors, no anomalous dispersion.

Principal peaks in the range 10° ≤ 2θ ≤ 80°, in order of rising 2θ:
2θ (°)	intensity	(hkl)
24.56	16	1 1 0
39.85	98	3 1 -1
40.00	100	1 1 2
45.00	35	4 0 1
45.68	35	0 2 0
48.56	26	2 0 -3
66.06	22	4 2 1
68.87	18	2 2 -3
79.42	12	7 1 0
79.72	13	5 1 3

Crystal structure
```
data_Zn2Pd3Pt2
_space_group_name_H-M_alt 'C 1 2/m 1'
_space_group_IT_number 12
_cell_length_a 8.9062
_cell_length_b 3.9718
_cell_length_c 5.9640
_cell_angle_alpha 90.00
_cell_angle_beta 95.47
_cell_angle_gamma 90.00
loop_
_space_group_symop_operation_xyz
'x,y,z'
'-x,-y,-z'
'-x,y,-z'
'x,-y,z'
'x+1/2,y+1/2,z'
'-x+1/2,-y+1/2,-z'
'-x+1/2,y+1/2,-z'
'x+1/2,-y+1/2,z'
loop_
_atom_site_label
_atom_site_fract_x
_atom_site_fract_y
_atom_site_fract_z
Zn1 0.1361 0.0000 0.4187
Pd1 0.0000 0.0000 0.0000
Pd2 0.2101 0.5000 0.1537
Pt1 0.0832 0.5000 0.7018
```